1.
The following is a theoretical X-ray powder pattern of Ho2Ga3Pt2. It was derived from a structure optimized by DFT (PBE), using CuKα.
No peak broadening, texture or thermal motion is included.

Crystal structure
```
7
Lattice="5.0093 -2.1704 0.0000 5.0093 2.1704 0.0000 -2.6122 0.0000 6.1465" Properties=species:S:1:pos:R:3 pbc="T T T"
Ho 0.8038 0.0000 1.6874
Ho 6.6025 0.0000 4.4592
Ga 3.7147 0.0000 0.3573
Ga 3.7031 0.0000 3.0733
Ga 3.6916 0.0000 5.7892
Pt -0.4617 0.0000 4.3999
Pt 7.8679 0.0000 1.7466
```

Largest 8 diffraction maxima, in order of rising 2θ, 10° ≤ 2θ ≤ 90°:
d_spacing, Position (°2θ), intensity
3.927, 22.6, 44.6
3.073, 29.1, 45.1
2.643, 33.9, 54.3
2.508, 35.8, 99.3
2.344, 38.4, 100.0
2.305, 39.1, 41.9
2.246, 40.2, 74.7
2.170, 41.6, 66.2

---

2.
The following is a theoretical X-ray powder pattern of PrNd5Sm3. It was derived from a structure optimized by DFT (PBE), using CuKα.
No peak broadening, texture or thermal motion is included.

Crystal structure
```
18
Lattice="10.3855 -3.1433 0.0000 10.3855 3.1433 0.0000 -6.1936 0.0000 9.9063" Properties=species:S:1:pos:R:3 pbc="T T T"
Pr 5.7403 2.4276 7.4297
Pr 8.8371 -2.4276 2.4766
Nd 5.6528 1.9069 1.6165
Nd 2.1998 1.1545 8.4022
Nd 12.0214 1.9069 3.3366
Nd 8.8371 0.6042 2.4766
Nd 9.2809 1.1545 6.4572
Nd 5.2966 -1.1545 3.4490
Nd 5.7403 -0.6042 7.4297
Nd 2.5560 -1.9069 6.5696
Nd 12.3777 -1.1545 1.5041
Nd 8.9246 -1.9069 8.2897
Sm 0.0000 0.0000 0.0000
Sm -3.0968 0.0000 4.9531
Sm 3.7556 1.7102 4.6685
Sm 13.9187 1.7102 0.2846
Sm 0.6587 -1.7102 9.6217
Sm 10.8219 -1.7102 5.2377
```

Largest 8 diffraction maxima, in order of rising 2θ, 10° ≤ 2θ ≤ 90°:
d_spacing, Position (°2θ), intensity
3.131, 28.5, 68.9
3.066, 29.1, 100.0
2.986, 29.9, 42.4
2.960, 30.2, 50.3
2.935, 30.5, 92.4
2.739, 32.7, 29.8
2.687, 33.3, 81.4
2.605, 34.4, 34.3

---

3.
The following is a theoretical X-ray powder pattern of Ac4GeAu3. It was derived from a structure optimized by DFT (PBE), using CuKα.
No peak broadening, texture or thermal motion is included.

Crystal structure
```
8
Lattice="4.3273 0.0000 0.0000 0.0000 4.8510 0.0000 0.0000 0.0000 11.8194" Properties=species:S:1:pos:R:3 pbc="T T T"
Ac 0.0000 0.0000 0.0000
Ac 0.0000 2.4255 3.1578
Ac 2.1637 0.0000 5.8035
Ac 2.1637 2.4255 9.0580
Ge 2.1637 0.0000 2.5817
Au 0.0000 0.0000 8.5064
Au 0.0000 2.4255 6.4860
Au 2.1637 2.4255 0.5278
```

Largest 8 diffraction maxima, in order of rising 2θ, 10° ≤ 2θ ≤ 90°:
d_spacing, Position (°2θ), intensity
3.115, 28.7, 100.0
2.955, 30.2, 31.9
2.913, 30.7, 20.7
2.497, 36.0, 72.2
2.426, 37.1, 30.0
2.164, 41.7, 21.7
1.875, 48.6, 19.7
1.414, 66.1, 17.9

---

4.
The following is a theoretical X-ray powder pattern of LaSb3Au3. It was derived from a structure optimized by DFT (PBE), using CuKα.
No peak broadening, texture or thermal motion is included.

Crystal structure
```
14
Lattice="7.5308 0.0000 0.0000 0.0000 7.5308 0.0000 0.0000 0.0000 7.5308" Properties=species:S:1:pos:R:3 pbc="T T T"
La 0.0000 0.0000 0.0000
La 3.7654 3.7654 3.7654
Sb 0.0000 1.8827 3.7654
Sb 0.0000 5.6481 3.7654
Sb 1.8827 3.7654 0.0000
Sb 3.7654 0.0000 1.8827
Sb 3.7654 0.0000 5.6481
Sb 5.6481 3.7654 0.0000
Au 0.0000 3.7654 1.8827
Au 0.0000 3.7654 5.6481
Au 1.8827 0.0000 3.7654
Au 3.7654 1.8827 0.0000
Au 3.7654 5.6481 0.0000
Au 5.6481 0.0000 3.7654
```

Largest 8 diffraction maxima, in order of rising 2θ, 10° ≤ 2θ ≤ 90°:
d_spacing, Position (°2θ), intensity
5.325, 16.6, 29.3
3.765, 23.6, 41.8
3.074, 29.0, 100.0
2.174, 41.5, 41.5
2.013, 45.0, 60.7
1.883, 48.3, 35.6
1.331, 70.8, 22.9
1.222, 78.3, 18.1

---

5.
The following is a theoretical X-ray powder pattern of Pr6Sb2As3Se. It was derived from a structure optimized by DFT (PBE), using CuKα.
No peak broadening, texture or thermal motion is included.

Crystal structure
```
12
Lattice="9.5719 -2.1890 0.0000 9.5719 2.1890 0.0000 -2.0691 0.0000 8.5593" Properties=species:S:1:pos:R:3 pbc="T T T"
Pr -0.4328 0.0000 2.0996
Pr 5.4779 0.0000 3.6562
Pr 4.5745 0.0000 7.7716
Pr 12.5003 0.0000 0.7877
Pr 11.5970 0.0000 4.9031
Pr 17.5077 0.0000 6.4597
Sb 1.4537 0.0000 7.1198
Sb 15.6211 0.0000 1.4395
As 2.4991 0.0000 2.8637
As 9.5719 0.0000 0.0000
As 14.5758 0.0000 5.6956
Se 8.5374 0.0000 4.2797
```

Largest 8 diffraction maxima, in order of rising 2θ, 10° ≤ 2θ ≤ 90°:
d_spacing, Position (°2θ), intensity
3.103, 28.8, 100.0
2.199, 41.0, 37.2
2.190, 41.2, 37.9
1.789, 51.0, 20.1
1.552, 59.6, 12.3
1.391, 67.3, 10.8
1.386, 67.6, 17.1
1.265, 75.1, 10.4

---

6.
The following is a theoretical X-ray powder pattern of La4Dy4Ho3. It was derived from a structure optimized by DFT (PBE), using CuKα.
No peak broadening, texture or thermal motion is included.

Crystal structure
```
11
Lattice="3.5337 0.0000 0.0000 0.0001 5.7300 0.0000 1.7661 2.8570 17.9724" Properties=species:S:1:pos:R:3 pbc="T T T"
La 0.8844 1.4290 5.6842
La 0.8833 4.2969 0.7115
La 4.4166 4.2901 17.2609
La 4.4154 7.1581 12.2882
Dy 0.8834 4.2929 7.3750
Dy 0.8843 1.4320 2.4576
Dy 4.4156 7.1551 15.5148
Dy 4.4165 4.2942 10.5973
Ho 2.6491 4.2926 13.8776
Ho 2.6499 1.4285 8.9862
Ho 2.6508 4.2944 4.0948
```

Largest 8 diffraction maxima, in order of rising 2θ, 10° ≤ 2θ ≤ 90°:
d_spacing, Position (°2θ), intensity
2.911, 30.7, 40.0
2.865, 31.2, 51.7
2.852, 31.4, 85.6
2.839, 31.5, 100.0
2.042, 44.4, 29.3
1.651, 55.7, 26.9
1.631, 56.4, 17.9
1.500, 61.9, 29.1

---

7.
The following is a theoretical X-ray powder pattern of FeCo2Ir. It was derived from a structure optimized by DFT (PBE), using CuKα.
No peak broadening, texture or thermal motion is included.

Crystal structure
```
4
Lattice="-1.8131 1.8131 3.6328 1.8131 -1.8131 3.6328 1.8131 1.8131 -3.6328" Properties=species:S:1:pos:R:3 pbc="T T T"
Fe 0.0000 0.0000 0.0000
Co 0.0000 0.0000 3.6328
Co 0.0000 1.8131 1.8164
Ir 1.8131 0.0000 1.8164
```

Largest 8 diffraction maxima, in order of rising 2θ, 10° ≤ 2θ ≤ 90°:
d_spacing, Position (°2θ), intensity
3.633, 24.5, 13.3
3.245, 27.5, 38.4
2.564, 35.0, 10.9
2.095, 43.2, 100.0
1.814, 50.3, 47.5
1.283, 73.9, 28.9
1.095, 89.5, 12.0
1.094, 89.7, 23.9

---

8.
The following is a theoretical X-ray powder pattern of MgSi3Ir3. It was derived from a structure optimized by DFT (PBE), using CuKα.
No peak broadening, texture or thermal motion is included.

Crystal structure
```
14
Lattice="6.5543 0.0000 0.0000 0.0000 6.5543 0.0000 0.0000 0.0000 6.5543" Properties=species:S:1:pos:R:3 pbc="T T T"
Mg 0.0000 0.0000 0.0000
Mg 3.2771 3.2771 3.2771
Si 0.0000 1.6386 3.2771
Si 0.0000 4.9157 3.2771
Si 1.6386 3.2771 0.0000
Si 3.2771 0.0000 1.6386
Si 3.2771 0.0000 4.9157
Si 4.9157 3.2771 0.0000
Ir 0.0000 3.2771 1.6386
Ir 0.0000 3.2771 4.9157
Ir 1.6386 0.0000 3.2771
Ir 3.2771 1.6386 0.0000
Ir 3.2771 4.9157 0.0000
Ir 4.9157 0.0000 3.2771
```

Largest 8 diffraction maxima, in order of rising 2θ, 10° ≤ 2θ ≤ 90°:
d_spacing, Position (°2θ), intensity
4.635, 19.2, 56.7
2.931, 30.5, 100.0
2.676, 33.5, 45.7
1.892, 48.1, 36.8
1.818, 50.2, 26.1
1.752, 52.2, 26.0
1.430, 65.2, 24.0
1.217, 78.6, 21.3

---

9.
The following is a theoretical X-ray powder pattern of ZrZn2In. It was derived from a structure optimized by DFT (PBE), using CuKα.
No peak broadening, texture or thermal motion is included.

Crystal structure
```
4
Lattice="-2.1259 2.1259 4.2287 2.1259 -2.1259 4.2287 2.1259 2.1259 -4.2287" Properties=species:S:1:pos:R:3 pbc="T T T"
Zr 0.0000 0.0000 0.0000
Zn 2.1259 0.0000 2.1143
Zn 0.0000 2.1259 2.1143
In 0.0000 0.0000 4.2287
```

Largest 8 diffraction maxima, in order of rising 2θ, 10° ≤ 2θ ≤ 90°:
d_spacing, Position (°2θ), intensity
2.450, 36.7, 100.0
2.126, 42.5, 32.7
2.114, 42.8, 16.1
1.503, 61.7, 10.3
1.499, 61.9, 20.5
1.281, 74.0, 23.7
1.276, 74.3, 11.7
1.225, 78.0, 10.2

---

10.
The following is a theoretical X-ray powder pattern of ZrFe2Au. It was derived from a structure optimized by DFT (PBE), using CuKα.
No peak broadening, texture or thermal motion is included.

Crystal structure
```
4
Lattice="-1.9923 1.9923 3.9587 1.9923 -1.9923 3.9587 1.9923 1.9923 -3.9587" Properties=species:S:1:pos:R:3 pbc="T T T"
Zr 0.0000 0.0000 0.0000
Fe 1.9923 0.0000 1.9794
Fe 0.0000 1.9923 1.9794
Au 0.0000 0.0000 3.9587
```

Largest 8 diffraction maxima, in order of rising 2θ, 10° ≤ 2θ ≤ 90°:
d_spacing, Position (°2θ), intensity
3.959, 22.5, 18.1
3.559, 25.0, 20.1
2.817, 31.8, 15.7
2.295, 39.2, 100.0
1.992, 45.5, 32.5
1.979, 45.8, 15.9
1.404, 66.6, 20.3
1.201, 79.9, 24.2

---

11.
The following is a theoretical X-ray powder pattern of Hf4BAs. It was derived from a structure optimized by DFT (PBE), using CuKα.
No peak broadening, texture or thermal motion is included.

Crystal structure
```
12
Lattice="-4.0985 4.0985 3.6936 4.0985 -4.0985 3.6936 4.0985 4.0985 -3.6936" Properties=species:S:1:pos:R:3 pbc="T T T"
Hf 0.0000 1.5608 0.0000
Hf 2.3390 0.0000 1.4428
Hf 5.8580 0.0000 1.4428
Hf 4.0985 2.3390 -0.4039
Hf 0.0000 1.7595 3.2896
Hf -1.5608 4.0985 1.8468
Hf 1.5608 4.0985 1.8468
Hf 0.0000 6.6363 0.0000
B 0.0000 0.0000 1.7120
B 0.0000 4.0985 3.5588
As 4.0985 0.0000 3.3969
As 0.0000 0.0000 5.2437
```

Largest 8 diffraction maxima, in order of rising 2θ, 10° ≤ 2θ ≤ 90°:
d_spacing, Position (°2θ), intensity
2.898, 30.9, 38.1
2.744, 32.6, 100.0
2.592, 34.6, 32.4
2.122, 42.6, 15.1
2.049, 44.2, 18.9
1.712, 53.5, 23.7
1.642, 56.0, 18.3
1.406, 66.5, 12.7

---

12.
The following is a theoretical X-ray powder pattern of LiTl2. It was derived from a structure optimized by DFT (PBE), using CuKα.
No peak broadening, texture or thermal motion is included.

Crystal structure
```
6
Lattice="-3.5253 3.5253 2.9440 3.5253 -3.5253 2.9440 3.5253 3.5253 -2.9440" Properties=species:S:1:pos:R:3 pbc="T T T"
Li 0.0000 0.0000 1.4720
Li 0.0000 0.0000 4.4160
Tl 4.6951 1.1698 0.0000
Tl 1.1698 2.3555 0.0000
Tl 2.3555 1.1698 2.9440
Tl -1.1698 2.3555 2.9440
```

Largest 8 diffraction maxima, in order of rising 2θ, 10° ≤ 2θ ≤ 90°:
d_spacing, Position (°2θ), intensity
3.525, 25.3, 18.7
2.944, 30.4, 25.1
2.780, 32.2, 100.0
2.260, 39.9, 12.7
2.230, 40.5, 12.8
1.666, 55.1, 22.4
1.642, 56.0, 20.7
1.447, 64.4, 12.8

---

- Number 6 is which compound?
  La4Dy4Ho3